(1)
Starting from a structure optimized by DFT (GGA-PBE), the PXRD pattern of Ac4InBi3 was calculated for Cu Kα.
Kinematic intensities with the Lorentz-polarization factor, no thermal factor.

a = 6.889 Å, b = 6.889 Å, c = 6.889 Å
α = 90.00°, β = 90.00°, γ = 90.00°
Space group Pm-3m (No. 221)
Symmetry-distinct sites (fractional):
Ac: 0.000 0.000 0.000 (multiplicity 1)
Ac: 0.000 0.500 0.500 (multiplicity 3)
In: 0.500 0.500 0.500 (multiplicity 1)
Bi: 0.000 0.000 0.500 (multiplicity 3)

Most intense lines, 10° ≤ 2θ ≤ 80°, by angle:
two_theta  d_spacing  I_rel  (hkl)
12.85  6.889  1  1 0 0
18.21  4.872  1  1 1 0
22.35  3.978  2  1 1 1
25.86  3.445  100  2 0 0
36.90  2.436  81  2 2 0
45.61  1.989  30  2 2 2
53.18  1.722  14  4 0 0
60.06  1.541  40  4 2 0
66.49  1.406  30  4 2 2
78.54  1.218  9  4 4 0

=====

(2)
Starting from a structure optimized by DFT (GGA-PBE), the PXRD pattern of CuSe3 was calculated for Cu Kα.
Kinematic intensities with the Lorentz-polarization factor, no thermal factor.

a = 5.397 Å, b = 5.397 Å, c = 5.397 Å
α = 90.00°, β = 90.00°, γ = 90.00°
Space group Im-3m (No. 229)
Symmetry-distinct sites (fractional):
Cu: 0.000 0.000 0.000 (multiplicity 2)
Se: 0.000 0.000 0.500 (multiplicity 6)

Most intense lines, 10° ≤ 2θ ≤ 80°, by angle:
two_theta  d_spacing  I_rel  (hkl)
23.31  3.816  1  1 1 0
33.20  2.699  100  2 0 0
47.66  1.908  71  2 2 0
59.32  1.558  24  2 2 2
69.69  1.349  11  4 0 0
79.41  1.207  31  4 2 0

=====

(3)
Starting from a structure optimized by DFT (GGA-PBE), the PXRD pattern of SrCoCuH6 was calculated for Cu Kα.
Kinematic intensities with the Lorentz-polarization factor, no thermal factor.

a = 4.5776 Å, b = 4.5776 Å, c = 4.4891 Å
α = 90.00°, β = 90.00°, γ = 120.00°
Space group P-6m2 (No. 187)
Symmetry-distinct sites (fractional):
Sr: 0.0000 0.0000 0.0000 (multiplicity 1)
Co: 0.6667 0.3333 0.5000 (multiplicity 1)
Cu: 0.3333 0.6667 0.5000 (multiplicity 1)
H: 0.5144 0.0288 0.2745 (multiplicity 6)

Most intense lines, 10° ≤ 2θ ≤ 80°, by angle:
two_theta  d_spacing  I_rel  (hkl)
19.78  4.489  4  0 0 1
30.07  2.972  100  1 0 1
39.37  2.289  47  1 1 0
40.18  2.245  14  0 0 2
44.43  2.039  2  1 1 1
50.32  1.813  22  2 0 1
57.51  1.603  30  1 1 2
65.69  1.421  20  2 1 1
66.83  1.400  9  1 0 3
71.38  1.321  8  3 0 0

=====

(4)
Starting from a structure optimized by DFT (GGA-PBE), the PXRD pattern of La2ZrRu2 was calculated for Cu Kα.
Kinematic intensities with the Lorentz-polarization factor, no thermal factor.

a = 7.200 Å, b = 7.200 Å, c = 4.600 Å
α = 90.00°, β = 90.00°, γ = 90.00°
Space group P4/mbm (No. 127)
Symmetry-distinct sites (fractional):
La: 0.177 0.323 0.000 (multiplicity 4)
Zr: 0.000 0.000 0.500 (multiplicity 2)
Ru: 0.128 0.628 0.500 (multiplicity 4)

Most intense lines, 10° ≤ 2θ ≤ 80°, by angle:
two_theta  d_spacing  I_rel  (hkl)
31.56  2.835  33  2 0 1
33.98  2.638  100  2 1 1
35.26  2.546  7  2 2 0
39.16  2.300  24  0 0 2
39.58  2.277  28  3 1 0
56.35  1.633  12  4 1 1
56.90  1.618  19  3 1 2
67.67  1.384  13  2 1 3
69.65  1.350  8  5 1 1
73.81  1.284  8  5 2 1

=====

(5)
Starting from a structure optimized by DFT (GGA-PBE), the PXRD pattern of NdDy2Zn was calculated for Cu Kα.
Kinematic intensities with the Lorentz-polarization factor, no thermal factor.

a = 4.779 Å, b = 4.779 Å, c = 4.796 Å
α = 90.00°, β = 90.00°, γ = 90.00°
Space group P4/mmm (No. 123)
Symmetry-distinct sites (fractional):
Nd: 0.000 0.000 0.000 (multiplicity 1)
Dy: 0.000 0.500 0.500 (multiplicity 2)
Zn: 0.500 0.500 0.000 (multiplicity 1)

Most intense lines, 10° ≤ 2θ ≤ 80°, by angle:
two_theta  d_spacing  I_rel  (hkl)
18.53  4.788  7  0 0 1
26.35  3.382  6  1 1 0
32.41  2.763  100  1 1 1
37.51  2.398  17  0 0 2
37.64  2.390  33  2 0 0
54.19  1.693  23  2 0 2
54.29  1.690  12  2 2 0
64.48  1.445  14  1 1 3
64.66  1.442  27  3 1 1
67.85  1.381  12  2 2 2

=====

(6)
Starting from a structure optimized by DFT (GGA-PBE), the PXRD pattern of CsMn2CrTe4 was calculated for Cu Kα.
Kinematic intensities with the Lorentz-polarization factor, no thermal factor.

a = 3.930 Å, b = 8.967 Å, c = 16.015 Å
α = 90.00°, β = 90.00°, γ = 90.00°
Space group Immm (No. 71)
Symmetry-distinct sites (fractional):
Cs: 0.000 0.000 0.000 (multiplicity 2)
Mn: 0.000 0.500 0.126 (multiplicity 4)
Cr: 0.000 0.000 0.500 (multiplicity 2)
Te: 0.000 0.199 0.372 (multiplicity 8)

Most intense lines, 10° ≤ 2θ ≤ 80°, by angle:
two_theta  d_spacing  I_rel  (hkl)
11.05  8.007  42  0 0 2
11.31  7.824  39  0 1 1
19.35  4.587  65  0 1 3
22.20  4.004  56  0 0 4
28.20  3.165  44  1 0 3
29.92  2.986  63  0 2 4
30.77  2.906  100  1 2 1
34.70  2.586  35  1 2 3
44.29  2.045  96  1 3 4
50.47  1.808  40  1 2 7

=====

Copy entry 5 word for word.
Starting from a structure optimized by DFT (GGA-PBE), the PXRD pattern of NdDy2Zn was calculated for Cu Kα.
Kinematic intensities with the Lorentz-polarization factor, no thermal factor.

a = 4.779 Å, b = 4.779 Å, c = 4.796 Å
α = 90.00°, β = 90.00°, γ = 90.00°
Space group P4/mmm (No. 123)
Symmetry-distinct sites (fractional):
Nd: 0.000 0.000 0.000 (multiplicity 1)
Dy: 0.000 0.500 0.500 (multiplicity 2)
Zn: 0.500 0.500 0.000 (multiplicity 1)

Most intense lines, 10° ≤ 2θ ≤ 80°, by angle:
two_theta  d_spacing  I_rel  (hkl)
18.53  4.788  7  0 0 1
26.35  3.382  6  1 1 0
32.41  2.763  100  1 1 1
37.51  2.398  17  0 0 2
37.64  2.390  33  2 0 0
54.19  1.693  23  2 0 2
54.29  1.690  12  2 2 0
64.48  1.445  14  1 1 3
64.66  1.442  27  3 1 1
67.85  1.381  12  2 2 2